No. 1
Structure and computed X-ray diffraction stick pattern of Ag4Br3F2 (DFT lattice parameters and positions (PBE); CuKα).
Intensities are scaled so that the largest is 100.

```
data_Ag4Br3F2
_symmetry_space_group_name_H-M 'C 1 2/c 1'
_symmetry_Int_Tables_number 15
_cell_length_a 14.500
_cell_length_b 7.827
_cell_length_c 7.955
_cell_angle_alpha 90.00
_cell_angle_beta 105.93
_cell_angle_gamma 90.00
loop_
_symmetry_equiv_pos_as_xyz
'x,y,z'
'-x,-y,-z'
'-x,y,-z+1/2'
'x,-y,z+1/2'
'x+1/2,y+1/2,z'
'-x+1/2,-y+1/2,-z'
'-x+1/2,y+1/2,-z+1/2'
'x+1/2,-y+1/2,z+1/2'
loop_
_atom_site_label
_atom_site_type_symbol
_atom_site_fract_x
_atom_site_fract_y
_atom_site_fract_z
Ag1 Ag 0.105 0.174 0.356
Ag2 Ag 0.186 0.450 0.857
Br1 Br 0.000 0.464 0.250
Br2 Br 0.128 0.125 0.020
F1 F 0.192 0.374 0.589
```

Largest 10 diffraction maxima, by angle, 10 to 90 degrees two-theta:
- 2θ = 18.55°, d = 4.784 Å, intensity 45.3, (1 1 1)
- 2θ = 23.25°, d = 3.825 Å, intensity 87.4, (2 0 -2)
- 2θ = 25.11°, d = 3.546 Å, intensity 76.9, (1 1 -2)
- 2θ = 25.56°, d = 3.485 Å, intensity 99.1, (4 0 0)
- 2θ = 34.13°, d = 2.627 Å, intensity 100.0, (5 1 0)
- 2θ = 34.99°, d = 2.565 Å, intensity 53.8, (1 3 0)
- 2θ = 37.08°, d = 2.425 Å, intensity 29.3, (3 1 -3)
- 2θ = 41.25°, d = 2.188 Å, intensity 43.7, (2 2 -3)
- 2θ = 46.02°, d = 1.972 Å, intensity 41.4, (4 2 2)
- 2θ = 46.73°, d = 1.944 Å, intensity 35.6, (7 1 -2)

---

No. 2
Structure and computed X-ray diffraction stick pattern of NaSm2S3 (DFT lattice parameters and positions (PBE); CuKα).
Intensities are scaled so that the largest is 100.

```
data_NaSm2S3
_symmetry_space_group_name_H-M 'I m m m'
_symmetry_Int_Tables_number 71
_symmetry_space_group_name_Hall '-I 2 2'
_cell_length_a 4.008
_cell_length_b 5.672
_cell_length_c 12.178
_cell_angle_alpha 90.00
_cell_angle_beta 90.00
_cell_angle_gamma 90.00
loop_
_atom_site_label
_atom_site_type_symbol
_atom_site_fract_x
_atom_site_fract_y
_atom_site_fract_z
Na1 Na 0.000 0.000 0.000
Sm1 Sm 0.000 0.000 0.337
S1 S 0.000 0.500 0.000
S2 S 0.000 0.500 0.329
```

Largest 10 diffraction maxima, by angle, 10 to 90 degrees two-theta:
- 2θ = 14.55°, d = 6.089 Å, intensity 23.6, (0 0 2)
- 2θ = 17.25°, d = 5.142 Å, intensity 41.5, (0 1 1)
- 2θ = 23.37°, d = 3.807 Å, intensity 19.4, (1 0 1)
- 2θ = 27.01°, d = 3.301 Å, intensity 39.5, (0 1 3)
- 2θ = 27.24°, d = 3.273 Å, intensity 38.8, (1 1 0)
- 2θ = 31.36°, d = 2.852 Å, intensity 100.0, (1 0 3)
- 2θ = 31.55°, d = 2.836 Å, intensity 49.4, (0 2 0)
- 2θ = 45.08°, d = 2.011 Å, intensity 71.0, (1 2 3)
- 2θ = 53.48°, d = 1.713 Å, intensity 19.7, (2 1 3)
- 2θ = 74.78°, d = 1.269 Å, intensity 23.1, (3 0 3)